Record 1
Computed powder X-ray diffraction pattern
Compound: PrNdHg2
Radiation: copper Kα
Structure: a cell relaxed with PBE
Peak positions follow from Bragg's law for the DFT cell and can differ from measured ones.

Crystal structure
```
PrNdHg2
1.0
7.718 0.000 0.000
0.000 7.718 0.000
0.000 0.000 7.718
Pr Nd Hg
4 4 8
Direct
0.000 0.000 0.000
0.000 0.500 0.500
0.500 0.000 0.500
0.500 0.500 0.000
0.000 0.000 0.500
0.000 0.500 0.000
0.500 0.000 0.000
0.500 0.500 0.500
0.250 0.250 0.250
0.250 0.250 0.750
0.250 0.750 0.250
0.250 0.750 0.750
0.750 0.250 0.250
0.750 0.250 0.750
0.750 0.750 0.250
0.750 0.750 0.750
```

Principal peaks in the range 10° ≤ 2θ ≤ 90°, sorted by position:
2θ/deg  d (Å)  Rel. int.
23.0  3.859  3
32.8  2.729  100
47.1  1.930  18
53.1  1.726  2
58.6  1.576  39
68.8  1.364  12
78.4  1.220  17
87.6  1.114  4



Record 2
Computed powder X-ray diffraction pattern
Compound: TiBi2O4F2
Radiation: copper Kα
Structure: a cell relaxed with PBE
Peak positions follow from Bragg's law for the DFT cell and can differ from measured ones.

Crystal structure
```
TiBi2O4F2
1.0
-1.935 1.935 7.825
1.935 -1.935 7.825
1.935 1.935 -7.825
Ti Bi O F
1 2 4 2
Direct
0.000 0.000 0.000
0.332 0.332 0.000
0.668 0.668 0.000
0.000 0.500 0.500
0.250 0.750 0.500
0.500 0.000 0.500
0.750 0.250 0.500
0.127 0.127 0.000
0.873 0.873 0.000
```

Principal peaks in the range 10° ≤ 2θ ≤ 90°, sorted by position:
2θ/deg  d (Å)  Rel. int.
11.3  7.825  30
28.7  3.109  100
32.7  2.737  36
34.4  2.608  18
46.9  1.935  24
48.2  1.888  29
56.0  1.643  33
58.2  1.586  18



Record 3
Computed powder X-ray diffraction pattern
Compound: Ba2U2O3
Radiation: copper Kα
Structure: a cell relaxed with PBE
Peak positions follow from Bragg's law for the DFT cell and can differ from measured ones.

Crystal structure
```
Ba2U2O3
1.0
5.926 0.000 0.000
0.000 4.024 0.000
-0.140 0.000 7.983
Ba U O
2 2 3
Direct
0.000 0.000 0.000
0.020 0.000 0.497
0.502 0.500 0.236
0.541 0.500 0.744
0.361 0.000 0.247
0.668 0.000 0.717
0.672 0.500 0.998
```

Principal peaks in the range 10° ≤ 2θ ≤ 90°, sorted by position:
2θ/deg  d (Å)  Rel. int.
15.0  5.925  12
26.8  3.332  100
27.2  3.284  34
30.2  2.962  23
31.6  2.834  39
43.9  2.061  19
44.5  2.035  17
53.2  1.723  11